(1)
Na2Ag3Cl5: theoretical X-ray diffraction stick pattern (copper Kα), based on a cell relaxed with GGA-PBE.

Cell: 14.0593 3.9045 10.1412 Å, 90.00 123.15 90.00°
Space group C2/m (No. 12)
One atom of each set of equivalent atoms:
Na 0.1709 0.0000 0.2712 [4 per cell]
Ag 0.0000 0.0000 0.5000 [2 per cell]
Ag 0.1063 0.5000 0.8602 [4 per cell]
Cl 0.0000 0.5000 0.0000 [2 per cell]
Cl 0.1079 0.5000 0.4202 [4 per cell]
Cl 0.2013 0.0000 0.7963 [4 per cell]

Main lines, by angle (2θ from 10° to 90°):
2θ (°), I (rel.)
12.78, 81
15.05, 23
27.88, 47
31.03, 100
32.04, 63
37.88, 23
41.04, 28
44.96, 36
45.44, 23
46.52, 24

(2)
Nd3Sm2Y2: theoretical X-ray diffraction stick pattern (copper Kα), based on a cell relaxed with GGA-PBE.

Cell: 3.6373 6.2904 10.9184 Å, 95.74 90.03 106.80°
Space group P-1 (No. 2)
One atom of each set of equivalent atoms:
Nd 0.0000 0.0000 0.0000 [1 per cell]
Nd 0.1437 0.2866 0.5720 [2 per cell]
Sm 0.2851 0.5711 0.1421 [2 per cell]
Y 0.4278 0.8567 0.7143 [2 per cell]

Main lines, by angle (2θ from 10° to 90°):
2θ (°), I (rel.)
30.11, 100
34.83, 17
34.94, 34
50.16, 30
59.53, 11
59.63, 18
59.74, 14
62.52, 6
62.66, 6
81.53, 7

(3)
KSnPb2: theoretical X-ray diffraction stick pattern (copper Kα), based on a cell relaxed with GGA-PBE.

Cell: 5.0451 5.0451 4.9350 Å, 90.00 90.00 90.00°
Space group P4/mmm (No. 123)
One atom of each set of equivalent atoms:
K 0.0000 0.0000 0.0000 [1 per cell]
Sn 0.5000 0.5000 0.0000 [1 per cell]
Pb 0.0000 0.5000 0.5000 [2 per cell]

Main lines, by angle (2θ from 10° to 90°):
2θ (°), I (rel.)
17.97, 16
24.96, 15
30.93, 100
35.59, 35
36.41, 16
51.83, 24
61.04, 30
62.14, 14
64.46, 13
84.62, 12

(4)
K2BiSbO6: theoretical X-ray diffraction stick pattern (copper Kα), based on a cell relaxed with GGA-PBE.

Cell: 8.3427 8.3427 8.3427 Å, 90.00 90.00 90.00°
Space group Fm-3m (No. 225)
One atom of each set of equivalent atoms:
K 0.2500 0.2500 0.2500 [8 per cell]
Bi 0.0000 0.0000 0.0000 [4 per cell]
Sb 0.0000 0.0000 0.5000 [4 per cell]
O 0.0000 0.0000 0.2587 [24 per cell]

Main lines, by angle (2θ from 10° to 90°):
2θ (°), I (rel.)
18.42, 9
21.30, 65
30.30, 100
43.39, 33
48.82, 30
53.83, 40
63.03, 20
67.34, 15
71.53, 18
87.50, 22